[1]
This entry pairs a crystal structure of Ag2S2Cl3 with its simulated X-ray powder pattern. Radiation: λ = 1.5418 Å (Cu Kα). Structure: a DFT-relaxed cell (GGA-PBE, Alexandria).
Neutral-atom scattering factors, no anomalous dispersion.

Atomic structure:
Cell lengths 3.8402, 3.8851, 12.0227 Å; angles 81.31, 82.98, 63.59 degrees
Element x y z (fractional)
Ag (0.2406, 0.3054, 0.1435)
Ag (0.7594, 0.6946, 0.8565)
S (0.1064, 0.1042, 0.5456)
S (0.8936, 0.8958, 0.4544)
Cl (0.0000, 0.0000, 0.0000)
Cl (0.4680, 0.3854, 0.7366)
Cl (0.5320, 0.6146, 0.2634)

Peak list (10 most intense, 2θ from 10° to 90°, by intensity)
| d_spacing | two_theta | Rel. int. |
| --- | --- | --- |
| 2.894 | 30.9 | 100 |
| 2.856 | 31.3 | 95 |
| 2.730 | 32.8 | 73 |
| 2.033 | 44.6 | 63 |
| 3.954 | 22.5 | 54 |
| 3.243 | 27.5 | 32 |
| 2.064 | 43.9 | 30 |
| 1.938 | 46.9 | 28 |
| 3.423 | 26.0 | 28 |
| 1.916 | 47.5 | 26 |


[2]
This entry pairs a crystal structure of AgS4Cl2 with its simulated X-ray powder pattern. Radiation: λ = 1.5418 Å (Cu Kα). Structure: a DFT-relaxed cell (GGA-PBE, Alexandria).
Neutral-atom scattering factors, no anomalous dispersion.

Atomic structure:
Cell lengths 7.0743, 7.0722, 8.1274 Å; angles 90.00, 115.63, 90.00 degrees
Element x y z (fractional)
Ag (0.0000, 0.0000, 0.0000)
Ag (0.5000, 0.5000, 0.0000)
S (0.0449, 0.0000, 0.5116)
S (0.2558, 0.2108, 0.5118)
S (0.2558, 0.7892, 0.5118)
S (0.4666, 0.0000, 0.5120)
S (0.5449, 0.5000, 0.5116)
S (0.7558, 0.2892, 0.5118)
S (0.7558, 0.7108, 0.5118)
S (0.9666, 0.5000, 0.5120)
Cl (0.2546, 0.2501, 0.0092)
Cl (0.2546, 0.7499, 0.0092)
Cl (0.7546, 0.2499, 0.0092)
Cl (0.7546, 0.7501, 0.0092)

Peak list (10 most intense, 2θ from 10° to 90°, by intensity)
| d_spacing | two_theta | Rel. int. |
| --- | --- | --- |
| 2.367 | 38.0 | 100 |
| 3.664 | 24.3 | 99 |
| 4.733 | 18.7 | 94 |
| 3.495 | 25.5 | 48 |
| 2.211 | 40.8 | 25 |
| 2.034 | 44.6 | 18 |
| 1.749 | 52.3 | 18 |
| 1.746 | 52.4 | 18 |
| 1.593 | 57.9 | 18 |
| 1.768 | 51.7 | 17 |


[3]
This entry pairs a crystal structure of AgS3Cl2 with its simulated X-ray powder pattern. Radiation: λ = 1.5418 Å (Cu Kα). Structure: a DFT-relaxed cell (GGA-PBE, Alexandria).
Neutral-atom scattering factors, no anomalous dispersion.

Atomic structure:
Cell lengths 6.0445, 6.9896, 8.2430 Å; angles 104.87, 103.49, 107.97 degrees
Element x y z (fractional)
Ag (0.2492, 0.2290, 0.2555)
Ag (0.7508, 0.7710, 0.7445)
S (0.0684, 0.0241, 0.6357)
S (0.1329, 0.3486, 0.7351)
S (0.4950, 0.5426, 0.1336)
S (0.5050, 0.4574, 0.8664)
S (0.8671, 0.6514, 0.2649)
S (0.9316, 0.9759, 0.3643)
Cl (0.1411, 0.8140, 0.9449)
Cl (0.3900, 0.7076, 0.5049)
Cl (0.6100, 0.2924, 0.4951)
Cl (0.8589, 0.1860, 0.0551)

Peak list (10 most intense, 2θ from 10° to 90°, by intensity)
| d_spacing | two_theta | Rel. int. |
| --- | --- | --- |
| 5.216 | 17.0 | 100 |
| 3.322 | 26.8 | 84 |
| 2.855 | 31.3 | 45 |
| 3.086 | 28.9 | 40 |
| 2.564 | 35.0 | 37 |
| 4.118 | 21.6 | 26 |
| 2.208 | 40.9 | 25 |
| 1.905 | 47.7 | 24 |
| 5.929 | 14.9 | 22 |
| 5.327 | 16.6 | 21 |


[4]
This entry pairs a crystal structure of Ag4Sb2S5Cl with its simulated X-ray powder pattern. Radiation: λ = 1.5418 Å (Cu Kα). Structure: a DFT-relaxed cell (GGA-PBE, Alexandria).
Neutral-atom scattering factors, no anomalous dispersion.

Atomic structure:
Cell lengths 7.3367, 6.4596, 6.4596 Å; angles 112.99, 90.00, 90.00 degrees
Element x y z (fractional)
Ag (0.0000, 0.2406, 0.7594)
Ag (0.0000, 0.7594, 0.2406)
Ag (0.2086, 0.5255, 0.5255)
Ag (0.7914, 0.5255, 0.5255)
Sb (0.5000, 0.2767, 0.8988)
Sb (0.5000, 0.8988, 0.2767)
S (0.2474, 0.5548, 0.9326)
S (0.2474, 0.9326, 0.5548)
S (0.5000, 0.3116, 0.3116)
S (0.7526, 0.5548, 0.9326)
S (0.7526, 0.9326, 0.5548)
Cl (0.0000, 0.2089, 0.2089)

Peak list (10 most intense, 2θ from 10° to 90°, by intensity)
| d_spacing | two_theta | Rel. int. |
| --- | --- | --- |
| 2.310 | 39.0 | 100 |
| 3.207 | 27.8 | 70 |
| 3.122 | 28.6 | 61 |
| 3.032 | 29.5 | 43 |
| 3.566 | 25.0 | 38 |
| 1.798 | 50.8 | 35 |
| 1.983 | 45.8 | 26 |
| 5.947 | 14.9 | 24 |
| 2.693 | 33.3 | 24 |
| 2.756 | 32.5 | 20 |